(1)
Starting from a cell relaxed with GGA-PBE, the powder diffraction line list of Hf2SbP4 was simulated for Cu Kα.
Kinematic intensities with the Lorentz-polarization factor, no thermal factor.

Principal peaks in the range 10° ≤ 2θ ≤ 80°, by angle:
- 13.46°, I 29
- 19.20°, I 24
- 25.51°, I 100
- 27.19°, I 62
- 36.38°, I 63
- 37.57°, I 23
- 38.78°, I 70
- 46.01°, I 33
- 52.40°, I 22
- 54.22°, I 53

a b c (Å): 4.9386 4.9386 13.1553
angles (deg): 90.00 90.00 90.00
Space group I4/mmm (No. 139)
Inequivalent atoms, fractional coordinates:
Hf 0.0000 0.0000 0.1168 [4 per cell]
Sb 0.0000 0.0000 0.5000 [2 per cell]
P 0.0000 0.0000 0.2997 [4 per cell]
P 0.0000 0.5000 0.0000 [4 per cell]

(2)
Starting from a cell relaxed with GGA-PBE, the powder diffraction line list of CaPm2UP4 was simulated for Cu Kα.
Kinematic intensities with the Lorentz-polarization factor, no thermal factor.

Principal peaks in the range 10° ≤ 2θ ≤ 80°, by angle:
- 15.37°, I 12
- 17.21°, I 20
- 26.80°, I 78
- 31.04°, I 100
- 44.47°, I 73
- 52.69°, I 39
- 55.23°, I 25
- 64.71°, I 12
- 71.35°, I 16
- 73.51°, I 33

a b c (Å): 5.7604 5.7604 11.5293
angles (deg): 90.00 90.00 90.00
Space group I-4m2 (No. 119)
Inequivalent atoms, fractional coordinates:
Ca 0.0000 0.0000 0.0000 [2 per cell]
Pm 0.0000 0.0000 0.5000 [2 per cell]
Pm 0.0000 0.5000 0.2500 [2 per cell]
U 0.0000 0.5000 0.7500 [2 per cell]
P 0.0000 0.0000 0.2519 [4 per cell]
P 0.0000 0.5000 0.5142 [4 per cell]

(3)
Starting from a cell relaxed with GGA-PBE, the powder diffraction line list of SmCd11Pt was simulated for Cu Kα.
Kinematic intensities with the Lorentz-polarization factor, no thermal factor.

Principal peaks in the range 10° ≤ 2θ ≤ 80°, by angle:
- 17.77°, I 16
- 31.03°, I 45
- 35.94°, I 100
- 36.04°, I 90
- 40.32°, I 53
- 40.45°, I 35
- 40.54°, I 15
- 58.37°, I 12
- 64.67°, I 34
- 76.25°, I 11

a b c (Å): 5.7695 14.1630 7.5992
angles (deg): 90.00 112.28 90.00
Space group C2/m (No. 12)
Inequivalent atoms, fractional coordinates:
Sm 0.0000 0.0000 0.0000 [2 per cell]
Cd 0.0000 0.5000 0.5000 [2 per cell]
Cd 0.1143 0.3958 0.2139 [8 per cell]
Cd 0.1646 0.1709 0.3560 [8 per cell]
Cd 0.2500 0.2500 0.0000 [4 per cell]
Pt 0.0000 0.0000 0.5000 [2 per cell]

(4)
Starting from a cell relaxed with GGA-PBE, the powder diffraction line list of GaHg3I3 was simulated for Cu Kα.
Kinematic intensities with the Lorentz-polarization factor, no thermal factor.

Principal peaks in the range 10° ≤ 2θ ≤ 80°, by angle:
- 24.97°, I 100
- 28.91°, I 15
- 30.37°, I 14
- 33.74°, I 34
- 36.83°, I 37
- 43.97°, I 21
- 47.48°, I 24
- 52.15°, I 16
- 56.55°, I 9
- 68.63°, I 15

a b c (Å): 12.3545 12.3545 6.1219
angles (deg): 90.00 90.00 120.00
Space group R3m (No. 160, hexagonal axes)
Inequivalent atoms, fractional coordinates:
Ga 0.0000 0.0000 0.0000 [3 per cell]
Hg 0.0866 0.5433 0.3893 [9 per cell]
I 0.0777 0.5388 0.8972 [9 per cell]

(5)
Starting from a cell relaxed with GGA-PBE, the powder diffraction line list of Pm4CoI3 was simulated for Cu Kα.
Kinematic intensities with the Lorentz-polarization factor, no thermal factor.

Principal peaks in the range 10° ≤ 2θ ≤ 80°, by angle:
- 10.35°, I 31
- 23.70°, I 31
- 27.99°, I 76
- 29.71°, I 69
- 31.07°, I 81
- 31.43°, I 100
- 34.12°, I 39
- 34.20°, I 30
- 46.66°, I 32
- 57.34°, I 37

a b c (Å): 3.8933 10.7033 14.2070
angles (deg): 90.00 90.00 90.00
Space group Pmmn (No. 59, origin choice 2)
Inequivalent atoms, fractional coordinates:
Pm 0.2500 0.0656 0.0998 [4 per cell]
Pm 0.2500 0.2500 0.8982 [2 per cell]
Pm 0.2500 0.7500 0.7273 [2 per cell]
Co 0.2500 0.7500 0.9547 [2 per cell]
I 0.2500 0.0495 0.7276 [4 per cell]
I 0.2500 0.2500 0.4438 [2 per cell]

(6)
Starting from a cell relaxed with GGA-PBE, the powder diffraction line list of U2AsN was simulated for Cu Kα.
Kinematic intensities with the Lorentz-polarization factor, no thermal factor.

Principal peaks in the range 10° ≤ 2θ ≤ 80°, by angle:
- 22.37°, I 33
- 24.17°, I 69
- 28.68°, I 31
- 32.83°, I 41
- 33.61°, I 33
- 35.02°, I 100
- 36.40°, I 40
- 36.54°, I 30
- 41.81°, I 35
- 42.72°, I 40

a b c (Å): 7.4456 5.8045 7.0478
angles (deg): 90.00 97.78 90.00
Space group P2_1/c (No. 14)
Inequivalent atoms, fractional coordinates:
U 0.0478 0.1043 0.3444 [4 per cell]
U 0.3740 0.6413 0.5302 [4 per cell]
As 0.3242 0.1540 0.6618 [4 per cell]
N 0.2150 0.6840 0.7631 [4 per cell]

(7)
Starting from a cell relaxed with GGA-PBE, the powder diffraction line list of Na5B7C3 was simulated for Cu Kα.
Kinematic intensities with the Lorentz-polarization factor, no thermal factor.

Principal peaks in the range 10° ≤ 2θ ≤ 80°, by angle:
- 34.97°, I 8
- 36.23°, I 12
- 40.99°, I 35
- 42.12°, I 100
- 56.77°, I 7
- 63.54°, I 12
- 65.97°, I 6
- 76.96°, I 6
- 79.15°, I 6
- 79.32°, I 6

a b c (Å): 23.0189 2.8319 10.0026
angles (deg): 90.00 107.16 90.00
Space group Cm (No. 8)
Inequivalent atoms, fractional coordinates:
Na 0.0000 0.0000 0.0000 [2 per cell]
Na 0.9998 0.5000 0.4938 [2 per cell]
Na 0.1004 0.5000 0.1963 [2 per cell]
Na 0.1021 0.0000 0.6931 [2 per cell]
Na 0.1992 0.0000 0.3951 [2 per cell]
Na 0.2009 0.5000 0.8958 [2 per cell]
Na 0.2991 0.5000 0.5940 [2 per cell]
Na 0.3004 0.0000 0.0943 [2 per cell]
Na 0.3993 0.0000 0.7987 [2 per cell]
Na 0.3986 0.5000 0.2936 [2 per cell]
B 0.0280 0.5000 0.8026 [2 per cell]
B 0.0770 0.0000 0.3976 [2 per cell]
B 0.1177 0.5000 0.4789 [2 per cell]
B 0.1204 0.0000 0.9866 [2 per cell]
B 0.1859 0.5000 0.6162 [2 per cell]
B 0.2142 0.5000 0.1730 [2 per cell]
B 0.2796 0.0000 0.8057 [2 per cell]
B 0.3086 0.0000 0.3621 [2 per cell]
B 0.3193 0.5000 0.8863 [2 per cell]
B 0.3761 0.0000 0.4968 [2 per cell]
B 0.3885 0.5000 0.0243 [2 per cell]
B 0.4197 0.5000 0.5856 [2 per cell]
B 0.4833 0.0000 0.2120 [2 per cell]
B 0.4842 0.5000 0.7154 [2 per cell]
C 0.0149 0.0000 0.2734 [2 per cell]
C 0.0881 0.5000 0.9227 [2 per cell]
C 0.1828 0.0000 0.1107 [2 per cell]
C 0.2174 0.0000 0.6802 [2 per cell]
C 0.2775 0.5000 0.2994 [2 per cell]
C 0.4192 0.0000 0.0859 [2 per cell]

(8)
Starting from a cell relaxed with GGA-PBE, the powder diffraction line list of Y2Er2Th3 was simulated for Cu Kα.
Kinematic intensities with the Lorentz-polarization factor, no thermal factor.

Principal peaks in the range 10° ≤ 2θ ≤ 80°, by angle:
- 31.25°, I 49
- 31.61°, I 100
- 31.64°, I 42
- 35.29°, I 66
- 39.03°, I 24
- 53.37°, I 20
- 53.87°, I 19
- 60.60°, I 13
- 61.05°, I 26
- 66.07°, I 24

a b c (Å): 14.3542 3.5812 11.6522
angles (deg): 90.00 127.09 90.00
Space group C2/m (No. 12)
Inequivalent atoms, fractional coordinates:
Y 0.2478 0.0000 0.3682 [4 per cell]
Er 0.2395 0.5000 0.1081 [4 per cell]
Th 0.0000 0.0000 0.0000 [2 per cell]
Th 0.0019 0.5000 0.7350 [4 per cell]

(9)
Starting from a cell relaxed with GGA-PBE, the powder diffraction line list of Tb3Dy5Co2 was simulated for Cu Kα.
Kinematic intensities with the Lorentz-polarization factor, no thermal factor.

Principal peaks in the range 10° ≤ 2θ ≤ 80°, by angle:
- 29.19°, I 98
- 30.00°, I 92
- 33.74°, I 100
- 35.41°, I 43
- 47.38°, I 20
- 49.52°, I 17
- 49.72°, I 66
- 57.10°, I 30
- 58.52°, I 28
- 60.52°, I 18

a b c (Å): 10.1390 14.7249 7.6752
angles (deg): 90.00 90.00 90.00
Space group Ibam (No. 72)
Inequivalent atoms, fractional coordinates:
Tb 0.0000 0.0000 0.2500 [4 per cell]
Tb 0.2422 0.3762 0.0000 [8 per cell]
Dy 0.0000 0.2530 0.2500 [8 per cell]
Dy 0.0000 0.5000 0.2500 [4 per cell]
Dy 0.2426 0.3759 0.5000 [8 per cell]
Co 0.0000 0.1307 0.0000 [8 per cell]

(10)
Starting from a cell relaxed with GGA-PBE, the powder diffraction line list of Th2Cr2Fe15 was simulated for Cu Kα.
Kinematic intensities with the Lorentz-polarization factor, no thermal factor.

Principal peaks in the range 10° ≤ 2θ ≤ 80°, by angle:
- 21.19°, I 13
- 30.13°, I 35
- 30.95°, I 8
- 37.16°, I 23
- 37.82°, I 13
- 43.15°, I 100
- 43.76°, I 14
- 62.67°, I 22
- 71.14°, I 9
- 79.03°, I 8

a b c (Å): 8.3805 8.3805 12.5976
angles (deg): 90.00 90.00 120.00
Space group R-3m (No. 166, hexagonal axes)
Inequivalent atoms, fractional coordinates:
Th 0.0000 0.0000 0.1569 [6 per cell]
Cr 0.0000 0.0000 0.4125 [6 per cell]
Fe 0.0000 0.2944 0.5000 [18 per cell]
Fe 0.0000 0.5000 0.0000 [9 per cell]
Fe 0.0035 0.5017 0.3402 [18 per cell]